Sr2GaH6Pt: calculated PXRD pattern (Cu Ka), based on a structure optimized by DFT (GGA-PBE).
Lines closer than 0.1° are merged.

Largest 10 diffraction maxima, low angle first, 2θ from 15° to 90°:
- 19.47°, rel. 16
- 22.52°, rel. 5
- 32.06°, rel. 100
- 37.79°, rel. 9
- 45.97°, rel. 19
- 50.37°, rel. 4
- 57.15°, rel. 39
- 67.05°, rel. 12
- 76.26°, rel. 17
- 85.12°, rel. 4

Structure:
```
Sr2GaH6Pt
1.0
0.0000 3.9482 3.9482
3.9482 0.0000 3.9482
3.9482 3.9482 0.0000
Sr Ga H Pt
2 1 6 1
Cartesian
1.9741 1.9741 1.9741
5.9223 5.9223 5.9223
0.0000 0.0000 0.0000
3.9482 3.9482 2.1626
3.9482 2.1626 3.9482
5.7339 3.9482 3.9482
2.1626 3.9482 3.9482
3.9482 5.7339 3.9482
3.9482 3.9482 5.7339
3.9482 3.9482 3.9482
```